[1]
Diffraction record for LuAl7Au3. The PXRD pattern is theoretical, not measured: it uses DFT lattice parameters and positions (PBE) and Cu Kα (weighted mean of Kα1 and Kα2).
Neutral-atom scattering factors, no anomalous dispersion.

Crystal structure
```
LuAl7Au3
1.0
4.0344 2.3292 7.0345
-4.0344 2.3292 7.0345
0.0000 -4.6585 7.0345
Lu Al Au
2 14 6
Direct
0.0000 0.0000 0.0000 Lu
0.5000 0.5000 0.5000 Lu
0.0697 0.8528 0.6667 Al
0.1472 0.3333 0.9303 Al
0.1667 0.3528 0.5697 Al
0.2500 0.2500 0.2500 Al
0.3333 0.9303 0.1472 Al
0.3528 0.5697 0.1667 Al
0.4303 0.8333 0.6472 Al
0.5697 0.1667 0.3528 Al
0.6472 0.4303 0.8333 Al
0.6667 0.0697 0.8528 Al
0.7500 0.7500 0.7500 Al
0.8333 0.6472 0.4303 Al
0.8528 0.6667 0.0697 Al
0.9303 0.1472 0.3333 Al
0.0755 0.7500 0.4245 Au
0.2500 0.5755 0.9245 Au
0.4245 0.0755 0.7500 Au
0.5755 0.9245 0.2500 Au
0.7500 0.4245 0.0755 Au
0.9245 0.2500 0.5755 Au
```

Largest 12 diffraction maxima, by intensity, 2θ from 10° to 80°:
25.45 deg, intensity 100; 46.82 deg, intensity 47; 38.66 deg, intensity 44; 33.81 deg, intensity 42; 44.70 deg, intensity 35; 66.64 deg, intensity 21; 62.30 deg, intensity 20; 66.88 deg, intensity 14; 74.18 deg, intensity 12; 52.28 deg, intensity 11; 38.10 deg, intensity 11; 25.32 deg, intensity 11


[2]
Diffraction record for LuAlAu. The PXRD pattern is theoretical, not measured: it uses DFT lattice parameters and positions (PBE) and Cu Kα (weighted mean of Kα1 and Kα2).
Neutral-atom scattering factors, no anomalous dispersion.

Crystal structure
```
LuAlAu
1.0
7.1534 0.0000 0.0000
-3.5767 6.1950 0.0000
0.0000 0.0000 4.1149
Lu Al Au
3 3 3
Direct
0.0000 0.4137 0.0000 Lu
0.4137 0.0000 0.0000 Lu
0.5863 0.5863 0.0000 Lu
0.0000 0.7575 0.5000 Al
0.2425 0.2425 0.5000 Al
0.7575 0.0000 0.5000 Al
0.0000 0.0000 0.0000 Au
0.3333 0.6667 0.5000 Au
0.6667 0.3333 0.5000 Au
```

Largest 12 diffraction maxima, by intensity, 2θ from 10° to 80°:
36.30 deg, intensity 100; 33.19 deg, intensity 66; 24.89 deg, intensity 46; 43.84 deg, intensity 34; 44.52 deg, intensity 33; 44.01 deg, intensity 24; 70.04 deg, intensity 24; 26.00 deg, intensity 24; 63.87 deg, intensity 22; 58.19 deg, intensity 17; 28.82 deg, intensity 15; 51.07 deg, intensity 14


[3]
Diffraction record for MgAlAu2. The PXRD pattern is theoretical, not measured: it uses DFT lattice parameters and positions (PBE) and Cu Kα (weighted mean of Kα1 and Kα2).
Neutral-atom scattering factors, no anomalous dispersion.

Crystal structure
```
MgAlAu2
1.0
6.5027 0.0000 0.0000
0.0000 6.5027 0.0000
0.0000 0.0000 6.5027
Mg Al Au
4 4 8
Direct
0.0000 0.0000 0.0000 Mg
0.0000 0.5000 0.5000 Mg
0.5000 0.0000 0.5000 Mg
0.5000 0.5000 0.0000 Mg
0.0000 0.0000 0.5000 Al
0.0000 0.5000 0.0000 Al
0.5000 0.0000 0.0000 Al
0.5000 0.5000 0.5000 Al
0.2500 0.2500 0.2500 Au
0.2500 0.2500 0.7500 Au
0.2500 0.7500 0.2500 Au
0.2500 0.7500 0.7500 Au
0.7500 0.2500 0.2500 Au
0.7500 0.2500 0.7500 Au
0.7500 0.7500 0.2500 Au
0.7500 0.7500 0.7500 Au
```

Largest 6 diffraction maxima, by intensity, 2θ from 10° to 80°:
39.18 deg, intensity 100; 27.43 deg, intensity 73; 71.01 deg, intensity 35; 64.04 deg, intensity 29; 48.50 deg, intensity 22; 56.62 deg, intensity 17


[4]
Diffraction record for Mg16Al12Au. The PXRD pattern is theoretical, not measured: it uses DFT lattice parameters and positions (PBE) and Cu Kα (weighted mean of Kα1 and Kα2).
Neutral-atom scattering factors, no anomalous dispersion.

Crystal structure
```
Mg16Al12Au
1.0
7.3533 4.2454 3.0952
-7.3533 4.2454 3.0952
0.0000 -8.4908 3.0952
Mg Al Au
16 12 1
Direct
0.0000 0.0000 0.0000 Mg
0.2774 0.6792 0.6792 Mg
0.3146 0.5904 0.9923 Mg
0.3146 0.9923 0.5904 Mg
0.3423 0.9933 0.9933 Mg
0.4129 0.4129 0.6938 Mg
0.4129 0.6938 0.4129 Mg
0.5904 0.3146 0.9923 Mg
0.5904 0.9923 0.3146 Mg
0.6792 0.2774 0.6792 Mg
0.6792 0.6792 0.2774 Mg
0.6938 0.4129 0.4129 Mg
0.9923 0.3146 0.5904 Mg
0.9923 0.5904 0.3146 Mg
0.9933 0.3423 0.9933 Mg
0.9933 0.9933 0.3423 Mg
0.1597 0.3486 0.3486 Al
0.1811 0.1811 0.8011 Al
0.1811 0.8011 0.1811 Al
0.3486 0.1597 0.3486 Al
0.3486 0.3486 0.1597 Al
0.6286 0.8134 0.9971 Al
0.6286 0.9971 0.8134 Al
0.8011 0.1811 0.1811 Al
0.8134 0.6286 0.9971 Al
0.8134 0.9971 0.6286 Al
0.9971 0.6286 0.8134 Al
0.9971 0.8134 0.6286 Al
0.7038 0.7038 0.7038 Au
```

Largest 12 diffraction maxima, by intensity, 2θ from 10° to 80°:
12.04 deg, intensity 100; 36.62 deg, intensity 98; 11.79 deg, intensity 87; 35.91 deg, intensity 71; 40.62 deg, intensity 49; 36.33 deg, intensity 48; 20.78 deg, intensity 43; 34.15 deg, intensity 39; 32.17 deg, intensity 39; 16.88 deg, intensity 39; 20.36 deg, intensity 31; 26.68 deg, intensity 31


[5]
Diffraction record for Mg16Al12Au. The PXRD pattern is theoretical, not measured: it uses DFT lattice parameters and positions (PBE) and Cu Kα (weighted mean of Kα1 and Kα2).
Neutral-atom scattering factors, no anomalous dispersion.

Crystal structure
```
Mg16Al12Au
1.0
8.9094 0.0000 0.0000
-2.8888 8.5449 0.0000
-2.9138 -4.0926 7.5510
Mg Al Au
16 12 1
Direct
0.0000 0.0000 0.0000 Mg
0.9999 0.4030 0.0251 Mg
0.2907 0.0736 0.3666 Mg
0.3106 0.3942 0.2800 Mg
0.3246 0.9862 0.6705 Mg
0.3459 0.3959 0.6722 Mg
0.4007 0.1124 0.0809 Mg
0.5848 0.7283 0.6712 Mg
0.5980 0.4035 0.0016 Mg
0.6266 0.0289 0.3485 Mg
0.6711 0.6942 0.3665 Mg
0.6874 0.0897 0.9746 Mg
0.7100 0.8038 0.0815 Mg
0.9903 0.3930 0.6737 Mg
0.9910 0.7131 0.2809 Mg
0.9939 0.7489 0.6737 Mg
0.0015 0.0324 0.5009 Al
0.1765 0.7676 0.0419 Al
0.1773 0.5794 0.4962 Al
0.1902 0.2201 0.8658 Al
0.3598 0.7643 0.8526 Al
0.3641 0.5784 0.0427 Al
0.6299 0.4036 0.5004 Al
0.6421 0.2284 0.6952 Al
0.8081 0.3961 0.3149 Al
0.8138 0.5904 0.8639 Al
0.8243 0.0431 0.6942 Al
0.9949 0.2119 0.3167 Al
0.3305 0.7329 0.3359 Au
```

Largest 12 diffraction maxima, by intensity, 2θ from 10° to 80°:
11.75 deg, intensity 100; 12.07 deg, intensity 98; 36.67 deg, intensity 92; 16.93 deg, intensity 71; 36.78 deg, intensity 69; 12.15 deg, intensity 60; 36.39 deg, intensity 59; 35.70 deg, intensity 54; 11.91 deg, intensity 50; 20.39 deg, intensity 40; 36.27 deg, intensity 40; 41.19 deg, intensity 36


[6]
Diffraction record for AlAuO3. The PXRD pattern is theoretical, not measured: it uses DFT lattice parameters and positions (PBE) and Cu Kα (weighted mean of Kα1 and Kα2).
Neutral-atom scattering factors, no anomalous dispersion.

Crystal structure
```
AlAuO3
1.0
3.7613 0.0000 0.0000
0.0000 3.7613 0.0000
0.0000 0.0000 3.7613
Al Au O
1 1 3
Direct
0.0000 0.0000 0.0000 Al
0.5000 0.5000 0.5000 Au
0.0000 0.0000 0.5000 O
0.0000 0.5000 0.0000 O
0.5000 0.0000 0.0000 O
```

Largest 8 diffraction maxima, by intensity, 2θ from 10° to 80°:
33.70 deg, intensity 100; 23.65 deg, intensity 64; 41.59 deg, intensity 42; 60.27 deg, intensity 40; 48.40 deg, intensity 31; 54.56 deg, intensity 30; 70.86 deg, intensity 19; 75.89 deg, intensity 15


[7]
Diffraction record for ScAlAu. The PXRD pattern is theoretical, not measured: it uses DFT lattice parameters and positions (PBE) and Cu Kα (weighted mean of Kα1 and Kα2).
Neutral-atom scattering factors, no anomalous dispersion.

Crystal structure
```
ScAlAu
1.0
7.2451 0.0000 0.0000
-3.6225 6.2744 0.0000
0.0000 0.0000 7.4716
Sc Al Au
6 6 6
Direct
0.0142 0.6042 0.2500 Sc
0.3958 0.4100 0.2500 Sc
0.4100 0.3958 0.7500 Sc
0.5900 0.9858 0.2500 Sc
0.6042 0.0142 0.7500 Sc
0.9858 0.5900 0.7500 Sc
0.0000 0.2600 0.0000 Al
0.0000 0.2600 0.5000 Al
0.2600 0.0000 0.0000 Al
0.2600 0.0000 0.5000 Al
0.7400 0.7400 0.0000 Al
0.7400 0.7400 0.5000 Al
0.0000 0.0000 0.2500 Au
0.0000 0.0000 0.7500 Au
0.3333 0.6667 0.5195 Au
0.3333 0.6667 0.9805 Au
0.6667 0.3333 0.0195 Au
0.6667 0.3333 0.4805 Au
```

Largest 12 diffraction maxima, by intensity, 2θ from 10° to 80°:
24.57 deg, intensity 100; 27.79 deg, intensity 66; 37.43 deg, intensity 65; 45.29 deg, intensity 52; 43.26 deg, intensity 44; 34.49 deg, intensity 23; 70.05 deg, intensity 21; 67.20 deg, intensity 21; 55.34 deg, intensity 19; 50.38 deg, intensity 19; 68.53 deg, intensity 16; 58.51 deg, intensity 15


[8]
Diffraction record for Th2Al4Si2Au3. The PXRD pattern is theoretical, not measured: it uses DFT lattice parameters and positions (PBE) and Cu Kα (weighted mean of Kα1 and Kα2).
Neutral-atom scattering factors, no anomalous dispersion.

Crystal structure
```
Th2Al4Si2Au3
1.0
2.1613 -11.8786 0.0000
2.1613 11.8786 0.0000
0.0000 0.0000 4.2866
Th Al Si Au
2 4 2 3
Direct
0.1785 0.8215 0.0000 Th
0.8215 0.1785 0.0000 Th
0.0630 0.9370 0.5000 Al
0.4367 0.5633 0.0000 Al
0.5633 0.4367 0.0000 Al
0.9370 0.0630 0.5000 Al
0.2731 0.7269 0.5000 Si
0.7269 0.2731 0.5000 Si
0.0000 0.0000 0.0000 Au
0.3768 0.6232 0.5000 Au
0.6232 0.3768 0.5000 Au
```

Largest 12 diffraction maxima, by intensity, 2θ from 10° to 80°:
27.90 deg, intensity 100; 29.59 deg, intensity 91; 31.49 deg, intensity 75; 30.74 deg, intensity 54; 41.80 deg, intensity 39; 51.32 deg, intensity 39; 42.16 deg, intensity 38; 25.63 deg, intensity 38; 47.04 deg, intensity 35; 39.78 deg, intensity 32; 36.82 deg, intensity 29; 22.45 deg, intensity 27


[9]
Diffraction record for SmAl7Au3. The PXRD pattern is theoretical, not measured: it uses DFT lattice parameters and positions (PBE) and Cu Kα (weighted mean of Kα1 and Kα2).
Neutral-atom scattering factors, no anomalous dispersion.

Crystal structure
```
SmAl7Au3
1.0
4.0688 2.3491 7.0716
-4.0688 2.3491 7.0716
0.0000 -4.6983 7.0716
Sm Al Au
2 14 6
Direct
0.0000 0.0000 0.0000 Sm
0.5000 0.5000 0.5000 Sm
0.0694 0.8527 0.6679 Al
0.1473 0.3321 0.9306 Al
0.1679 0.3527 0.5694 Al
0.2500 0.2500 0.2500 Al
0.3321 0.9306 0.1473 Al
0.3527 0.5694 0.1679 Al
0.4306 0.8321 0.6473 Al
0.5694 0.1679 0.3527 Al
0.6473 0.4306 0.8321 Al
0.6679 0.0694 0.8527 Al
0.7500 0.7500 0.7500 Al
0.8321 0.6473 0.4306 Al
0.8527 0.6679 0.0694 Al
0.9306 0.1473 0.3321 Al
0.0720 0.7500 0.4280 Au
0.2500 0.5720 0.9280 Au
0.4280 0.0720 0.7500 Au
0.5720 0.9280 0.2500 Au
0.7500 0.4280 0.0720 Au
0.9280 0.2500 0.5720 Au
```

Largest 12 diffraction maxima, by intensity, 2θ from 10° to 80°:
25.25 deg, intensity 100; 46.43 deg, intensity 44; 38.32 deg, intensity 37; 33.58 deg, intensity 33; 44.42 deg, intensity 31; 61.73 deg, intensity 17; 66.15 deg, intensity 17; 66.28 deg, intensity 11; 73.53 deg, intensity 10; 51.85 deg, intensity 9; 37.79 deg, intensity 8; 36.19 deg, intensity 6


[10]
Diffraction record for SmAl2Au2. The PXRD pattern is theoretical, not measured: it uses DFT lattice parameters and positions (PBE) and Cu Kα (weighted mean of Kα1 and Kα2).
Neutral-atom scattering factors, no anomalous dispersion.

Crystal structure
```
SmAl2Au2
1.0
4.4458 0.0000 0.0000
0.0000 4.4458 0.0000
0.0000 0.0000 10.3210
Sm Al Au
2 4 4
Direct
0.2500 0.2500 0.2473 Sm
0.7500 0.7500 0.7527 Sm
0.2500 0.2500 0.8701 Al
0.2500 0.7500 0.5000 Al
0.7500 0.2500 0.5000 Al
0.7500 0.7500 0.1299 Al
0.2500 0.2500 0.6291 Au
0.2500 0.7500 0.0000 Au
0.7500 0.2500 0.0000 Au
0.7500 0.7500 0.3709 Au
```

Largest 12 diffraction maxima, by intensity, 2θ from 10° to 80°:
33.37 deg, intensity 100; 29.71 deg, intensity 74; 40.58 deg, intensity 71; 32.92 deg, intensity 61; 26.46 deg, intensity 37; 53.21 deg, intensity 32; 25.90 deg, intensity 27; 45.48 deg, intensity 26; 48.63 deg, intensity 25; 69.27 deg, intensity 25; 58.74 deg, intensity 24; 65.14 deg, intensity 21


[11]
Diffraction record for SmAlAu. The PXRD pattern is theoretical, not measured: it uses DFT lattice parameters and positions (PBE) and Cu Kα (weighted mean of Kα1 and Kα2).
Neutral-atom scattering factors, no anomalous dispersion.

Crystal structure
```
SmAlAu
1.0
7.4247 0.0000 0.0000
0.0000 4.5700 0.0000
0.0000 0.0000 7.7810
Sm Al Au
4 4 4
Direct
0.0077 0.2500 0.1962 Sm
0.4923 0.7500 0.6962 Sm
0.5077 0.2500 0.3038 Sm
0.9923 0.7500 0.8038 Sm
0.1713 0.2500 0.5809 Al
0.3287 0.7500 0.0809 Al
0.6713 0.2500 0.9191 Al
0.8287 0.7500 0.4191 Al
0.2065 0.7500 0.4088 Au
0.2935 0.2500 0.9088 Au
0.7065 0.7500 0.0912 Au
0.7935 0.2500 0.5912 Au
```

Largest 12 diffraction maxima, by intensity, 2θ from 10° to 80°:
33.15 deg, intensity 100; 25.59 deg, intensity 66; 39.97 deg, intensity 48; 32.54 deg, intensity 43; 39.44 deg, intensity 38; 25.85 deg, intensity 36; 33.36 deg, intensity 32; 38.16 deg, intensity 23; 52.59 deg, intensity 22; 64.22 deg, intensity 20; 71.00 deg, intensity 16; 56.04 deg, intensity 15


[12]
Diffraction record for SrAl2Au2. The PXRD pattern is theoretical, not measured: it uses DFT lattice parameters and positions (PBE) and Cu Kα (weighted mean of Kα1 and Kα2).
Neutral-atom scattering factors, no anomalous dispersion.

Crystal structure
```
SrAl2Au2
1.0
4.5295 0.0000 0.0000
0.0000 4.5295 0.0000
0.0000 0.0000 10.5390
Sr Al Au
2 4 4
Direct
0.2500 0.2500 0.2494 Sr
0.7500 0.7500 0.7506 Sr
0.2500 0.2500 0.8749 Al
0.2500 0.7500 0.5000 Al
0.7500 0.2500 0.5000 Al
0.7500 0.7500 0.1251 Al
0.2500 0.2500 0.6299 Au
0.2500 0.7500 0.0000 Au
0.7500 0.2500 0.0000 Au
0.7500 0.7500 0.3701 Au
```

Largest 12 diffraction maxima, by intensity, 2θ from 10° to 80°:
29.14 deg, intensity 100; 32.72 deg, intensity 97; 39.80 deg, intensity 78; 32.25 deg, intensity 52; 44.53 deg, intensity 51; 25.94 deg, intensity 47; 25.35 deg, intensity 39; 47.78 deg, intensity 30; 52.12 deg, intensity 29; 57.55 deg, intensity 27; 67.80 deg, intensity 24; 47.58 deg, intensity 23